# ZnCu4Sn2Se8
Calculated XRD peak list, Cu Kα (λ = 1.5418 Å). Input: the PBE geometry in Alexandria.
Neutral-atom scattering factors, no anomalous dispersion.

Peak list (12 most intense, 2θ from 10° to 90°, by angle)
2theta	Rel. int.
17.48	6
27.21	100
28.26	6
36.34	7
45.11	48
45.29	23
53.33	14
53.58	14
53.70	13
72.47	8
83.46	7
83.61	7

Cell lengths 6.9689, 6.9689, 11.3096 Å; angles 113.90, 113.90, 48.02 degrees
Element x y z (fractional)
Zn  0.0000  0.0000  0.0000
Cu  0.2374  0.2559  0.8692
Cu  0.2670  0.2409  0.3813
Cu  0.7441  0.7626  0.1308
Cu  0.7591  0.7330  0.6187
Sn  0.5022  0.4965  0.7391
Sn  0.5035  0.4978  0.2609
Se  0.0999  0.6397  0.5475
Se  0.1086  0.6215  0.0544
Se  0.3603  0.9001  0.4525
Se  0.3785  0.8914  0.9456
Se  0.6257  0.1023  0.8090
Se  0.6487  0.0962  0.3256
Se  0.8977  0.3743  0.1910
Se  0.9038  0.3513  0.6744

---

# CaB4C2
Calculated XRD peak list, Cu Kα (λ = 1.5418 Å). Input: the PBE geometry in Alexandria.
Neutral-atom scattering factors, no anomalous dispersion.

Peak list (12 most intense, 2θ from 10° to 90°, by angle)
2theta	Rel. int.
20.37	16
25.21	61
28.97	29
29.13	34
38.77	100
41.43	24
41.91	29
46.59	16
49.12	15
60.40	13
66.15	17
74.45	11

Cell lengths 6.1643, 6.1643, 4.3112 Å; angles 90.00, 90.00, 90.00 degrees
Element x y z (fractional)
Ca  0.0000  0.0000  0.0000
Ca  0.5000  0.5000  0.5000
B  0.0616  0.3855  0.5000
B  0.1145  0.5616  0.0000
B  0.3855  0.0616  0.5000
B  0.4384  0.8855  0.0000
B  0.5616  0.1145  0.0000
B  0.6145  0.9384  0.5000
B  0.8855  0.4384  0.0000
B  0.9384  0.6145  0.5000
C  0.2027  0.2027  0.5000
C  0.2973  0.7027  0.0000
C  0.7027  0.2973  0.0000
C  0.7973  0.7973  0.5000